Sr2Mg16Zn: calculated powder diffractogram (Cu Kα (weighted mean of Kα1 and Kα2)), based on a cell relaxed with PBE.

Structural model:
```
Sr2Mg16Zn
1.0
5.2256 3.0170 5.0985
-5.2256 3.0170 5.0985
0.0000 -6.0340 5.0985
Sr Mg Zn
2 16 1
Direct
0.0000 0.0000 0.0000
0.3313 0.3313 0.3313
0.0123 0.0123 0.5117
0.0123 0.5117 0.0123
0.1713 0.6619 0.6619
0.3185 0.3185 0.8198
0.3185 0.8198 0.3185
0.3683 0.6650 0.9622
0.3683 0.9622 0.6650
0.5117 0.0123 0.0123
0.6619 0.1713 0.6619
0.6619 0.6619 0.1713
0.6650 0.3683 0.9622
0.6650 0.9622 0.3683
0.7510 0.7510 0.7510
0.8198 0.3185 0.3185
0.9622 0.3683 0.6650
0.9622 0.6650 0.3683
0.5574 0.5574 0.5574
```

Most intense lines, 10° ≤ 2θ ≤ 90°, low angle first:
two_theta	intensity
16.97	33
24.39	45
29.61	65
30.61	34
34.32	79
34.54	100
35.20	53
35.42	28
49.98	31
62.75	28